Structure and theoretical powder diffractogram of ZnNiRu (the GGA-PBE geometry in Alexandria; CuKα).
Intensities are scaled so that the largest is 100.

The 12 most intense peaks (15 to 90 degrees two-theta), most intense first:
43.41°, rel. 100; 41.85°, rel. 28; 43.00°, rel. 25; 77.51°, rel. 17; 61.56°, rel. 17; 79.10°, rel. 15; 64.59°, rel. 9; 79.96°, rel. 8; 80.75°, rel. 7; 38.17°, rel. 4; 28.29°, rel. 4; 51.28°, rel. 1

Atomic structure:
```
3
Lattice="0.0000 2.1587 6.3102 1.4434 0.0000 6.3102 1.4434 2.1587 0.0000" Properties=species:S:1:pos:R:3 pbc="T T T"
Zn 0.0000 0.0000 0.0000
Ni 1.4434 2.1587 4.3018
Ru 1.4434 2.1587 8.5401
```